No. 1
Calculated powder X-ray diffraction pattern
Compound: Cs2LiGaF6
Radiation: Cu Ka
Structure: a GGA-PBE-relaxed structure
No peak broadening, texture or thermal motion is included.

Crystal structure
a b c (Å): 6.3609 6.3609 5.1796
angles (deg): 90.00 90.00 120.00
Sites, in units of the cell vectors:
Cs 0.3333 0.6667 0.2682
Cs 0.6667 0.3333 0.7318
Li 0.0000 0.0000 0.5000
Ga 0.0000 0.0000 0.0000
F 0.1384 0.2767 0.7707
F 0.1384 0.8616 0.7707
F 0.2767 0.1384 0.2293
F 0.7233 0.8616 0.7707
F 0.8616 0.1384 0.2293
F 0.8616 0.7233 0.2293

Largest 8 diffraction maxima, by intensity, 10° ≤ 2θ ≤ 80°:
2θ/deg	I/Imax
23.58	100
36.96	66
28.06	64
47.04	23
56.73	20
48.23	19
38.41	17
63.48	16

=====

No. 2
Calculated powder X-ray diffraction pattern
Compound: CsMgGaF6
Radiation: Cu Ka
Structure: a GGA-PBE-relaxed structure
No peak broadening, texture or thermal motion is included.

Crystal structure
a b c (Å): 7.3642 7.3642 7.3642
angles (deg): 120.24 119.82 89.95
Sites, in units of the cell vectors:
Cs 0.3714 0.1214 0.2500
Cs 0.6286 0.8786 0.7500
Mg 0.0000 0.0000 0.5000
Mg 0.0000 0.5000 0.0000
Ga 0.0000 0.5000 0.5000
Ga 0.5000 0.5000 0.0000
F 0.0677 0.4349 0.2606
F 0.0677 0.8071 0.6328
F 0.0683 0.8183 0.2500
F 0.3161 0.5661 0.7500
F 0.3257 0.1929 0.7606
F 0.3257 0.5651 0.1328
F 0.6743 0.4349 0.8672
F 0.6743 0.8071 0.2394
F 0.6839 0.4339 0.2500
F 0.9317 0.1817 0.7500
F 0.9323 0.1929 0.3672
F 0.9323 0.5651 0.7394

Largest 8 diffraction maxima, by intensity, 10° ≤ 2θ ≤ 80°:
2θ/deg	I/Imax
28.42	100
24.17	29
49.51	23
45.34	16
24.26	15
45.18	14
69.27	10
55.78	10

=====

No. 3
Calculated powder X-ray diffraction pattern
Compound: Cs2NaGaF6
Radiation: Cu Ka
Structure: a GGA-PBE-relaxed structure
No peak broadening, texture or thermal motion is included.

Crystal structure
a b c (Å): 10.9130 10.9130 10.9130
angles (deg): 33.80 33.80 33.80
Sites, in units of the cell vectors:
Cs 0.1280 0.1280 0.1280
Cs 0.2815 0.2815 0.2815
Cs 0.7185 0.7185 0.7185
Cs 0.8720 0.8720 0.8720
Na 0.4030 0.4030 0.4030
Na 0.5970 0.5970 0.5970
Ga 0.0000 0.0000 0.0000
Ga 0.5000 0.5000 0.5000
F 0.1801 0.6034 0.6034
F 0.1815 0.1815 0.7449
F 0.1815 0.7449 0.1815
F 0.2551 0.8185 0.8185
F 0.3966 0.3966 0.8199
F 0.3966 0.8199 0.3966
F 0.6034 0.1801 0.6034
F 0.6034 0.6034 0.1801
F 0.7449 0.1815 0.1815
F 0.8185 0.2551 0.8185
F 0.8185 0.8185 0.2551
F 0.8199 0.3966 0.3966

Largest 8 diffraction maxima, by intensity, 10° ≤ 2θ ≤ 80°:
2θ/deg	I/Imax
28.13	100
25.92	57
38.62	48
21.66	37
49.82	35
28.28	35
35.78	32
58.15	22

=====

No. 4
Calculated powder X-ray diffraction pattern
Compound: Cs2NaGaF6
Radiation: Cu Ka
Structure: a GGA-PBE-relaxed structure
No peak broadening, texture or thermal motion is included.

Crystal structure
a b c (Å): 6.2478 6.2478 6.2478
angles (deg): 60.00 60.00 60.00
Sites, in units of the cell vectors:
Cs 0.2500 0.2500 0.2500
Cs 0.7500 0.7500 0.7500
Na 0.0000 0.0000 0.0000
Ga 0.5000 0.5000 0.5000
F 0.2791 0.2791 0.7209
F 0.2791 0.7209 0.2791
F 0.2791 0.7209 0.7209
F 0.7209 0.2791 0.2791
F 0.7209 0.2791 0.7209
F 0.7209 0.7209 0.2791

Largest 8 diffraction maxima, by intensity, 10° ≤ 2θ ≤ 80°:
2θ/deg	I/Imax
28.57	100
40.85	39
50.61	39
35.19	27
59.15	23
66.98	20
20.10	15
17.38	11

=====

No. 5
Calculated powder X-ray diffraction pattern
Compound: Cs4Na2ScGaF12
Radiation: Cu Ka
Structure: a GGA-PBE-relaxed structure
No peak broadening, texture or thermal motion is included.

Crystal structure
a b c (Å): 11.0737 11.0737 11.0737
angles (deg): 33.74 33.74 33.74
Sites, in units of the cell vectors:
Cs 0.1291 0.1291 0.1291
Cs 0.2798 0.2798 0.2798
Cs 0.7202 0.7202 0.7202
Cs 0.8709 0.8709 0.8709
Na 0.4040 0.4040 0.4040
Na 0.5960 0.5960 0.5960
Sc 0.0000 0.0000 0.0000
Ga 0.5000 0.5000 0.5000
F 0.1844 0.6023 0.6024
F 0.1881 0.1881 0.7355
F 0.1881 0.7355 0.1881
F 0.2645 0.8119 0.8119
F 0.3976 0.3976 0.8156
F 0.3976 0.8156 0.3976
F 0.6024 0.1844 0.6024
F 0.6024 0.6024 0.1844
F 0.7355 0.1881 0.1881
F 0.8119 0.2645 0.8119
F 0.8119 0.8119 0.2645
F 0.8156 0.3976 0.3976

Largest 8 diffraction maxima, by intensity, 10° ≤ 2θ ≤ 80°:
2θ/deg	I/Imax
27.76	100
25.56	57
38.09	53
21.36	46
35.29	38
27.87	37
49.13	36
57.34	23

=====

No. 6
Calculated powder X-ray diffraction pattern
Compound: CsRb2GaF6
Radiation: Cu Ka
Structure: a GGA-PBE-relaxed structure
No peak broadening, texture or thermal motion is included.

Crystal structure
a b c (Å): 6.6839 6.6839 6.6839
angles (deg): 60.00 60.00 60.00
Sites, in units of the cell vectors:
Cs 0.0000 0.0000 0.0000
Rb 0.2500 0.2500 0.2500
Rb 0.7500 0.7500 0.7500
Ga 0.5000 0.5000 0.5000
F 0.2957 0.2957 0.7043
F 0.2957 0.7043 0.2957
F 0.2957 0.7043 0.7043
F 0.7043 0.2957 0.2957
F 0.7043 0.2957 0.7043
F 0.7043 0.7043 0.2957

Largest 8 diffraction maxima, by intensity, 10° ≤ 2θ ≤ 80°:
2θ/deg	I/Imax
26.67	100
47.10	37
38.08	35
75.23	23
62.10	22
54.95	21
68.81	6
18.78	6

=====

No. 7
Calculated powder X-ray diffraction pattern
Compound: Cs2TlGaF6
Radiation: Cu Ka
Structure: a GGA-PBE-relaxed structure
No peak broadening, texture or thermal motion is included.

Crystal structure
a b c (Å): 6.5984 6.5984 6.5984
angles (deg): 60.00 60.00 60.00
Sites, in units of the cell vectors:
Cs 0.2500 0.2500 0.2500
Cs 0.7500 0.7500 0.7500
Tl 0.0000 0.0000 0.0000
Ga 0.5000 0.5000 0.5000
F 0.2920 0.2920 0.7080
F 0.2920 0.7080 0.2920
F 0.2920 0.7080 0.7080
F 0.7080 0.2920 0.2920
F 0.7080 0.2920 0.7080
F 0.7080 0.7080 0.2920

Largest 8 diffraction maxima, by intensity, 10° ≤ 2θ ≤ 80°:
2θ/deg	I/Imax
27.03	100
47.75	40
38.59	30
76.37	23
63.00	21
55.72	19
31.81	9
42.21	7

=====

No. 8
Calculated powder X-ray diffraction pattern
Compound: Cs3GeF7
Radiation: Cu Ka
Structure: a GGA-PBE-relaxed structure
No peak broadening, texture or thermal motion is included.

Crystal structure
a b c (Å): 8.5817 8.5817 6.3317
angles (deg): 90.00 90.00 90.00
Sites, in units of the cell vectors:
Cs 0.0000 0.0000 0.0000
Cs 0.1950 0.3050 0.5000
Cs 0.3050 0.8050 0.5000
Cs 0.5000 0.5000 0.0000
Cs 0.6950 0.1950 0.5000
Cs 0.8050 0.6950 0.5000
Ge 0.0000 0.5000 0.0000
Ge 0.5000 0.0000 0.0000
F 0.0000 0.0000 0.5000
F 0.1063 0.6063 0.2071
F 0.1063 0.6063 0.7929
F 0.1513 0.3487 0.0000
F 0.3487 0.8487 0.0000
F 0.3937 0.1063 0.2071
F 0.3937 0.1063 0.7929
F 0.5000 0.5000 0.5000
F 0.6063 0.8937 0.2071
F 0.6063 0.8937 0.7929
F 0.6513 0.1513 0.0000
F 0.8487 0.6513 0.0000
F 0.8937 0.3937 0.2071
F 0.8937 0.3937 0.7929

Largest 8 diffraction maxima, by intensity, 10° ≤ 2θ ≤ 80°:
2θ/deg	I/Imax
25.07	100
29.44	35
28.19	27
41.21	27
36.80	26
27.17	22
23.18	16
48.04	16

=====

No. 9
Calculated powder X-ray diffraction pattern
Compound: Cs2GeF6
Radiation: Cu Ka
Structure: a GGA-PBE-relaxed structure
No peak broadening, texture or thermal motion is included.

Crystal structure
a b c (Å): 6.4859 6.4859 6.4859
angles (deg): 60.00 60.00 60.00
Sites, in units of the cell vectors:
Cs 0.2500 0.2500 0.2500
Cs 0.7500 0.7500 0.7500
Ge 0.0000 0.0000 0.0000
F 0.2005 0.2005 0.7995
F 0.2005 0.7995 0.2005
F 0.2005 0.7995 0.7995
F 0.7995 0.2005 0.2005
F 0.7995 0.2005 0.7995
F 0.7995 0.7995 0.2005

Largest 8 diffraction maxima, by intensity, 10° ≤ 2θ ≤ 80°:
2θ/deg	I/Imax
27.50	100
39.29	36
48.63	35
33.85	32
16.74	30
77.95	23
64.22	23
19.35	22

=====

No. 10
Calculated powder X-ray diffraction pattern
Compound: Cs2Na2SnGeF12
Radiation: Cu Ka
Structure: a GGA-PBE-relaxed structure
No peak broadening, texture or thermal motion is included.

Crystal structure
a b c (Å): 8.6190 6.6800 11.3206
angles (deg): 90.00 90.00 90.00
Sites, in units of the cell vectors:
Cs 0.2455 0.1781 0.0000
Cs 0.2455 0.8219 0.5000
Cs 0.7545 0.1781 0.0000
Cs 0.7545 0.8219 0.5000
Na 0.0000 0.2971 0.3221
Na 0.0000 0.7029 0.8221
Na 0.5000 0.2963 0.6783
Na 0.5000 0.7037 0.1783
Sn 0.5000 0.2702 0.3292
Sn 0.5000 0.7298 0.8292
Ge 0.0000 0.2683 0.6719
Ge 0.0000 0.7317 0.1719
F 0.0000 0.0051 0.7202
F 0.0000 0.1836 0.5167
F 0.0000 0.3520 0.8287
F 0.0000 0.4648 0.1279
F 0.0000 0.5352 0.6279
F 0.0000 0.6480 0.3287
F 0.0000 0.8164 0.0167
F 0.0000 0.9949 0.2202
F 0.2118 0.2666 0.6724
F 0.2118 0.7334 0.1724
F 0.2688 0.2652 0.3287
F 0.2688 0.7348 0.8287
F 0.5000 0.0148 0.7778
F 0.5000 0.1713 0.4964
F 0.5000 0.3624 0.1590
F 0.5000 0.4383 0.8746
F 0.5000 0.5617 0.3746
F 0.5000 0.6376 0.6590
F 0.5000 0.8287 0.9964
F 0.5000 0.9852 0.2778
F 0.7312 0.2652 0.3287
F 0.7312 0.7348 0.8287
F 0.7882 0.2666 0.6724
F 0.7882 0.7334 0.1724

Largest 8 diffraction maxima, by intensity, 10° ≤ 2θ ≤ 80°:
2θ/deg	I/Imax
25.83	100
27.14	97
25.99	66
18.54	57
26.69	41
47.37	38
41.93	33
34.90	31

=====

No. 11
Calculated powder X-ray diffraction pattern
Compound: CsH2F3
Radiation: Cu Ka
Structure: a GGA-PBE-relaxed structure
No peak broadening, texture or thermal motion is included.

Crystal structure
a b c (Å): 7.5010 9.2934 11.6049
angles (deg): 90.00 90.00 90.00
Sites, in units of the cell vectors:
Cs 0.0153 0.1428 0.3897
Cs 0.0269 0.2152 0.8381
Cs 0.4731 0.7848 0.3381
Cs 0.4847 0.8572 0.8897
Cs 0.5153 0.3572 0.6103
Cs 0.5269 0.2848 0.1619
Cs 0.9731 0.7152 0.6619
Cs 0.9847 0.6428 0.1103
H 0.0331 0.2386 0.1124
H 0.0367 0.4127 0.5590
H 0.2064 0.4769 0.3810
H 0.2157 0.0092 0.1264
H 0.2843 0.9908 0.6264
H 0.2936 0.5231 0.8810
H 0.4633 0.5873 0.0590
H 0.4669 0.7614 0.6124
H 0.5331 0.2614 0.8876
H 0.5367 0.0873 0.4410
H 0.7064 0.0231 0.6190
H 0.7157 0.4908 0.8736
H 0.7843 0.5092 0.3736
H 0.7936 0.9769 0.1190
H 0.9633 0.9127 0.9410
H 0.9669 0.7386 0.3876
F 0.0638 0.8794 0.8856
F 0.0648 0.8140 0.4039
F 0.1620 0.1463 0.1351
F 0.1689 0.4550 0.4939
F 0.2342 0.0937 0.6249
F 0.2435 0.4896 0.2969
F 0.2565 0.5104 0.7969
F 0.2658 0.9063 0.1249
F 0.3311 0.5450 0.9939
F 0.3380 0.8537 0.6351
F 0.4352 0.1860 0.9039
F 0.4362 0.1206 0.3856
F 0.5638 0.6206 0.1144
F 0.5648 0.6860 0.5961
F 0.6620 0.3537 0.8649
F 0.6689 0.0450 0.5061
F 0.7342 0.4063 0.3751
F 0.7435 0.0104 0.7031
F 0.7565 0.9896 0.2031
F 0.7658 0.5937 0.8751
F 0.8311 0.9550 0.0061
F 0.8380 0.6463 0.3649
F 0.9352 0.3140 0.0961
F 0.9362 0.3794 0.6144

Largest 8 diffraction maxima, by intensity, 10° ≤ 2θ ≤ 80°:
2θ/deg	I/Imax
21.60	100
23.74	46
29.95	37
22.51	37
40.47	28
32.77	26
40.86	26
30.63	25